1.
For BaCeHg4, a DFT-relaxed cell (GGA-PBE, Alexandria) gives the simulated XRD peak list in this record (copper Kα).
Kinematic intensities with the Lorentz-polarization factor, no thermal factor.

Structural model:
```
data_BaCeHg4
_chemical_formula_sum 'Ba1 Ce1 Hg4'
_symmetry_space_group_name_H-M 'P 4/m m m'
_symmetry_Int_Tables_number 123
_symmetry_space_group_name_Hall '-P 4 2'
_cell_length_a 4.582
_cell_length_b 4.582
_cell_length_c 9.896
_cell_angle_alpha 90.00
_cell_angle_beta 90.00
_cell_angle_gamma 90.00
loop_
_atom_site_label
_atom_site_type_symbol
_atom_site_fract_x
_atom_site_fract_y
_atom_site_fract_z
Ba1 Ba 0.000 0.000 0.000
Ce1 Ce 0.500 0.500 0.500
Hg1 Hg 0.000 0.500 0.273
```

Main lines, in order of rising 2θ (10° ≤ 2θ ≤ 80°):
Position (°2θ)	intensity
17.9	24
21.4	20
27.5	21
33.0	100
36.3	16
39.3	33
54.6	20
67.3	26

---

2.
For PaIn3Cu8, a DFT-relaxed cell (GGA-PBE, Alexandria) gives the simulated XRD peak list in this record (copper Kα).
Kinematic intensities with the Lorentz-polarization factor, no thermal factor.

Structural model:
```
data_PaIn3Cu8
_chemical_formula_sum 'Pa3 In9 Cu24'
_symmetry_space_group_name_H-M 'R 3 m'
_symmetry_Int_Tables_number 160
_symmetry_space_group_name_Hall 'R 3 -2"'
_cell_length_a 5.0761
_cell_length_b 5.0761
_cell_length_c 25.5672
_cell_angle_alpha 90.00
_cell_angle_beta 90.00
_cell_angle_gamma 120.00
loop_
_atom_site_label
_atom_site_type_symbol
_atom_site_fract_x
_atom_site_fract_y
_atom_site_fract_z
Pa1 Pa 0.0000 0.0000 0.0000
In1 In 0.0000 0.0000 0.1259
In2 In 0.0000 0.0000 0.4987
In3 In 0.0000 0.0000 0.6182
Cu1 Cu 0.0000 0.0000 0.3112
Cu2 Cu 0.0000 0.0000 0.8118
Cu3 Cu 0.0000 0.5000 0.0632
Cu4 Cu 0.1670 0.3340 0.8937
```

Main lines, in order of rising 2θ (10° ≤ 2θ ≤ 80°):
Position (°2θ)	intensity
34.7	59
35.4	58
40.8	59
41.4	100
41.7	53
43.5	32
67.2	26
74.8	24

---

3.
For Ce2PrSi2Pt2, a DFT-relaxed cell (GGA-PBE, Alexandria) gives the simulated XRD peak list in this record (copper Kα).
Kinematic intensities with the Lorentz-polarization factor, no thermal factor.

Structural model:
```
data_Ce2PrSi2Pt2
_chemical_formula_sum 'Ce6 Pr3 Si6 Pt6'
_symmetry_space_group_name_H-M 'R -3 m'
_symmetry_Int_Tables_number 166
_symmetry_space_group_name_Hall '-R 3 2"'
_cell_length_a 4.2839
_cell_length_b 4.2839
_cell_length_c 28.1130
_cell_angle_alpha 90.00
_cell_angle_beta 90.00
_cell_angle_gamma 120.00
loop_
_atom_site_label
_atom_site_type_symbol
_atom_site_fract_x
_atom_site_fract_y
_atom_site_fract_z
Ce1 Ce 0.0000 0.0000 0.1389
Pr1 Pr 0.0000 0.0000 0.0000
Si1 Si 0.0000 0.0000 0.2568
Pt1 Pt 0.0000 0.0000 0.4067
```

Main lines, in order of rising 2θ (10° ≤ 2θ ≤ 80°):
Position (°2θ)	intensity
27.2	42
28.8	55
32.9	100
35.2	32
42.2	88
43.0	27
54.5	24
66.3	33

---

4.
For Ba2CaCuBi2F14, a DFT-relaxed cell (GGA-PBE, Alexandria) gives the simulated XRD peak list in this record (copper Kα).
Kinematic intensities with the Lorentz-polarization factor, no thermal factor.

Structural model:
```
data_Ba2CaCuBi2F14
_chemical_formula_sum 'Ba8 Ca4 Cu4 Bi8 F56'
_symmetry_space_group_name_H-M 'C 1 2/c 1'
_symmetry_Int_Tables_number 15
_cell_length_a 14.309
_cell_length_b 5.532
_cell_length_c 16.693
_cell_angle_alpha 90.00
_cell_angle_beta 90.92
_cell_angle_gamma 90.00
loop_
_symmetry_equiv_pos_as_xyz
'x,y,z'
'-x,-y,-z'
'-x,y,-z+1/2'
'x,-y,z+1/2'
'x+1/2,y+1/2,z'
'-x+1/2,-y+1/2,-z'
'-x+1/2,y+1/2,-z+1/2'
'x+1/2,-y+1/2,z+1/2'
loop_
_atom_site_label
_atom_site_type_symbol
_atom_site_fract_x
_atom_site_fract_y
_atom_site_fract_z
Ba1 Ba 0.186 0.094 0.380
Ca1 Ca 0.000 0.445 0.750
Cu1 Cu 0.000 0.500 0.000
Bi1 Bi 0.103 0.041 0.122
F1 F 0.020 0.386 0.389
F2 F 0.032 0.130 0.832
F3 F 0.078 0.221 0.989
F4 F 0.114 0.260 0.239
F5 F 0.148 0.257 0.532
F6 F 0.154 0.259 0.700
F7 F 0.245 0.369 0.885
```

Main lines, in order of rising 2θ (10° ≤ 2θ ≤ 80°):
Position (°2θ)	intensity
17.2	73
21.3	78
24.6	81
26.8	38
27.0	100
27.4	70
27.6	72
39.1	43

---

5.
For Pr5NdTe5, a DFT-relaxed cell (GGA-PBE, Alexandria) gives the simulated XRD peak list in this record (copper Kα).
Kinematic intensities with the Lorentz-polarization factor, no thermal factor.

Structural model:
```
data_Pr5NdTe5
_chemical_formula_sum 'Pr5 Nd1 Te5'
_symmetry_space_group_name_H-M 'P -1'
_symmetry_Int_Tables_number 2
_cell_length_a 6.350
_cell_length_b 7.737
_cell_length_c 8.943
_cell_angle_alpha 106.84
_cell_angle_beta 90.25
_cell_angle_gamma 113.95
loop_
_symmetry_equiv_pos_as_xyz
'x,y,z'
'-x,-y,-z'
loop_
_atom_site_label
_atom_site_type_symbol
_atom_site_fract_x
_atom_site_fract_y
_atom_site_fract_z
Pr1 Pr 0.000 0.000 0.000
Pr2 Pr 0.330 0.663 0.162
Pr3 Pr 0.335 0.672 0.675
Nd1 Nd 0.000 0.000 0.500
Te1 Te 0.165 0.328 0.832
Te2 Te 0.171 0.340 0.338
Te3 Te 0.500 0.000 0.500
```

Main lines, in order of rising 2θ (10° ≤ 2θ ≤ 80°):
Position (°2θ)	intensity
28.1	100
28.3	49
40.1	19
40.3	94
49.8	20
50.0	20
66.1	21
73.3	13

---

6.
For ErMgP2Rh5, a DFT-relaxed cell (GGA-PBE, Alexandria) gives the simulated XRD peak list in this record (copper Kα).
Kinematic intensities with the Lorentz-polarization factor, no thermal factor.

Structural model:
```
data_ErMgP2Rh5
_chemical_formula_sum 'Er1 Mg1 P2 Rh5'
_symmetry_space_group_name_H-M 'P 4/m m m'
_symmetry_Int_Tables_number 123
_symmetry_space_group_name_Hall '-P 4 2'
_cell_length_a 4.100
_cell_length_b 4.100
_cell_length_c 9.549
_cell_angle_alpha 90.00
_cell_angle_beta 90.00
_cell_angle_gamma 90.00
loop_
_atom_site_label
_atom_site_type_symbol
_atom_site_fract_x
_atom_site_fract_y
_atom_site_fract_z
Er1 Er 0.000 0.000 0.000
Mg1 Mg 0.000 0.000 0.500
P1 P 0.500 0.500 0.234
Rh1 Rh 0.000 0.500 0.330
Rh2 Rh 0.500 0.500 0.000
```

Main lines, in order of rising 2θ (10° ≤ 2θ ≤ 80°):
Position (°2θ)	intensity
28.0	74
32.3	100
36.2	75
44.2	61
49.5	41
53.1	49
57.8	24
71.5	20

---

7.
For Cs3Rb2I3Cl2, a DFT-relaxed cell (GGA-PBE, Alexandria) gives the simulated XRD peak list in this record (copper Kα).
Kinematic intensities with the Lorentz-polarization factor, no thermal factor.

Structural model:
```
data_Cs3Rb2I3Cl2
_chemical_formula_sum 'Cs6 Rb4 I6 Cl4'
_symmetry_space_group_name_H-M 'I 4/m m m'
_symmetry_Int_Tables_number 139
_symmetry_space_group_name_Hall '-I 4 2'
_cell_length_a 5.843
_cell_length_b 5.843
_cell_length_c 33.352
_cell_angle_alpha 90.00
_cell_angle_beta 90.00
_cell_angle_gamma 90.00
loop_
_atom_site_label
_atom_site_type_symbol
_atom_site_fract_x
_atom_site_fract_y
_atom_site_fract_z
Cs1 Cs 0.000 0.000 0.000
Cs2 Cs 0.000 0.000 0.387
Rb1 Rb 0.000 0.500 0.250
I1 I 0.000 0.000 0.121
I2 I 0.000 0.000 0.500
Cl1 Cl 0.000 0.000 0.285
```

Main lines, in order of rising 2θ (10° ≤ 2θ ≤ 80°):
Position (°2θ)	intensity
21.3	87
21.5	100
22.2	71
24.0	54
30.5	51
30.6	94
34.6	68
37.6	80

---

8.
For Sr2In4HgAu3, a DFT-relaxed cell (GGA-PBE, Alexandria) gives the simulated XRD peak list in this record (copper Kα).
Kinematic intensities with the Lorentz-polarization factor, no thermal factor.

Structural model:
```
data_Sr2In4HgAu3
_chemical_formula_sum 'Sr2 In4 Hg1 Au3'
_symmetry_space_group_name_H-M 'P -4 m 2'
_symmetry_Int_Tables_number 115
_cell_length_a 4.765
_cell_length_b 4.765
_cell_length_c 11.575
_cell_angle_alpha 90.00
_cell_angle_beta 90.00
_cell_angle_gamma 90.00
loop_
_symmetry_equiv_pos_as_xyz
'x,y,z'
'y,-x,-z'
'-x,-y,z'
'-y,x,-z'
'-x,y,z'
'-y,-x,-z'
'x,-y,z'
'y,x,-z'
loop_
_atom_site_label
_atom_site_type_symbol
_atom_site_fract_x
_atom_site_fract_y
_atom_site_fract_z
Sr1 Sr 0.000 0.500 0.248
In1 In 0.000 0.000 0.500
In2 In 0.000 0.500 0.866
In3 In 0.500 0.500 0.500
Hg1 Hg 0.500 0.500 0.000
Au1 Au 0.000 0.000 0.000
Au2 Au 0.000 0.500 0.632
```

Main lines, in order of rising 2θ (10° ≤ 2θ ≤ 80°):
Position (°2θ)	intensity
20.2	30
29.8	44
30.7	100
37.8	79
41.1	69
43.5	26
54.5	27
70.5	28

---

What did the seventh record say?
For Cs3Rb2I3Cl2, a DFT-relaxed cell (GGA-PBE, Alexandria) gives the simulated XRD peak list in this record (copper Kα).
Kinematic intensities with the Lorentz-polarization factor, no thermal factor.

Structural model:
```
data_Cs3Rb2I3Cl2
_chemical_formula_sum 'Cs6 Rb4 I6 Cl4'
_symmetry_space_group_name_H-M 'I 4/m m m'
_symmetry_Int_Tables_number 139
_symmetry_space_group_name_Hall '-I 4 2'
_cell_length_a 5.843
_cell_length_b 5.843
_cell_length_c 33.352
_cell_angle_alpha 90.00
_cell_angle_beta 90.00
_cell_angle_gamma 90.00
loop_
_atom_site_label
_atom_site_type_symbol
_atom_site_fract_x
_atom_site_fract_y
_atom_site_fract_z
Cs1 Cs 0.000 0.000 0.000
Cs2 Cs 0.000 0.000 0.387
Rb1 Rb 0.000 0.500 0.250
I1 I 0.000 0.000 0.121
I2 I 0.000 0.000 0.500
Cl1 Cl 0.000 0.000 0.285
```

Main lines, in order of rising 2θ (10° ≤ 2θ ≤ 80°):
Position (°2θ)	intensity
21.3	87
21.5	100
22.2	71
24.0	54
30.5	51
30.6	94
34.6	68
37.6	80